Ba3LiPt: simulated X-ray diffraction stick pattern (Cu Kα, 1.54184 Å), based on a cell relaxed with PBE.
Lines closer than 0.1° are merged.

Crystal structure
```
Ba3LiPt
1.0
5.9637 -8.4890 0.0000
5.9637 8.4890 0.0000
0.0000 0.0000 4.6205
Ba Li Pt
6 2 2
direct
0.1740 0.4346 0.5002
0.1863 0.8137 0.0000
0.4346 0.1740 0.5002
0.5654 0.8260 0.5002
0.8137 0.1863 0.0000
0.8260 0.5654 0.5002
0.0000 0.0000 0.4999
0.5000 0.5000 0.9992
0.0000 0.5000 0.9997
0.5000 0.0000 0.9997
```

Principal peaks in the range 2θ = 10–90°, sorted by position:
2theta, I/Imax
10.42, 100
14.85, 36
21.90, 31
25.99, 23
27.42, 23
28.56, 46
32.34, 53
37.43, 18
40.32, 20
45.71, 19

Ca4Mg5: simulated X-ray diffraction stick pattern (Cu Kα, 1.54184 Å), based on a cell relaxed with PBE.
Lines closer than 0.1° are merged.

Crystal structure
```
Ca4Mg5
1.0
-5.1997 5.1997 2.5624
5.1997 -5.1997 2.5624
5.1997 5.1997 -2.5624
Ca Mg
4 5
direct
0.0000 0.3134 0.3134
0.0000 0.6866 0.6866
0.3134 0.0000 0.3134
0.6866 0.0000 0.6866
0.0000 0.0000 0.0000
0.3442 0.3442 0.6884
0.3442 0.6558 0.0000
0.6558 0.3442 0.0000
0.6558 0.6558 0.3116
```

Principal peaks in the range 2θ = 10–90°, sorted by position:
2theta, I/Imax
25.87, 8
31.15, 100
35.02, 19
36.66, 30
51.60, 21
52.82, 9
60.41, 13
62.60, 19
64.96, 9
84.37, 7

DyPu2Hg6: simulated X-ray diffraction stick pattern (Cu Kα, 1.54184 Å), based on a cell relaxed with PBE.
Lines closer than 0.1° are merged.

Crystal structure
```
DyPu2Hg6
1.0
4.3810 2.5294 3.3080
-4.3810 2.5294 3.3080
0.0000 -5.0588 3.3080
Dy Pu Hg
1 2 6
direct
0.0000 0.0000 0.0000
0.3397 0.3397 0.3397
0.6603 0.6603 0.6603
0.1652 0.5000 0.8348
0.1652 0.8348 0.5000
0.5000 0.1652 0.8348
0.5000 0.8348 0.1652
0.8348 0.1652 0.5000
0.8348 0.5000 0.1652
```

Principal peaks in the range 2θ = 10–90°, sorted by position:
2theta, I/Imax
33.96, 100
35.49, 99
45.12, 10
49.93, 34
62.75, 35
63.73, 19
67.68, 31
75.12, 12
85.05, 16
89.53, 16